# 1
Structure and theoretical powder X-ray diffraction pattern of Li2FePO5 (DFT lattice parameters and positions (PBE+U); Cu Kα, 1.54184 Å).
No peak broadening, texture or thermal motion is included.

Structural model:
abc: 6.438 6.438 4.475
angles: 90.00 90.00 90.00
Sites, in units of the cell vectors:
Li  0.000  0.000  0.000
Li  0.000  0.500  0.000
Li  0.500  0.000  0.000
Li  0.500  0.500  0.000
Fe  0.250  0.250  0.429
Fe  0.750  0.750  0.571
P  0.250  0.750  0.500
P  0.750  0.250  0.500
O  0.056  0.750  0.706
O  0.250  0.250  0.833
O  0.250  0.556  0.294
O  0.250  0.944  0.294
O  0.444  0.750  0.706
O  0.556  0.250  0.294
O  0.750  0.056  0.706
O  0.750  0.444  0.706
O  0.750  0.750  0.167
O  0.944  0.250  0.294

Principal peaks in the range 10° ≤ 2θ ≤ 90°, by angle:
d (Å)  I/Imax
4.475  76
3.674  26
3.219  100
2.613  77
2.113  26
1.935  18
1.609  22
1.596  23

=====

# 2
Structure and theoretical powder X-ray diffraction pattern of LiFe2P2O8 (DFT lattice parameters and positions (PBE+U); Cu Kα, 1.54184 Å).
No peak broadening, texture or thermal motion is included.

Structural model:
abc: 10.355 5.229 13.649
angles: 90.00 90.00 90.00
Sites, in units of the cell vectors:
Li  0.213  0.024  0.000
Li  0.287  0.024  0.500
Li  0.713  0.976  0.000
Li  0.787  0.976  0.500
Fe  0.036  0.403  0.499
Fe  0.214  0.036  0.746
Fe  0.286  0.036  0.246
Fe  0.464  0.403  0.999
Fe  0.536  0.597  0.499
Fe  0.714  0.964  0.746
Fe  0.786  0.964  0.246
Fe  0.964  0.597  0.999
P  0.039  0.921  0.372
P  0.216  0.529  0.128
P  0.284  0.529  0.628
P  0.461  0.921  0.872
P  0.539  0.079  0.372
P  0.716  0.471  0.128
P  0.784  0.471  0.628
P  0.961  0.079  0.872
O  0.015  0.635  0.397
O  0.022  0.012  0.774
O  0.028  0.924  0.959
O  0.070  0.496  0.103
O  0.185  0.985  0.375
O  0.211  0.376  0.543
O  0.246  0.815  0.622
O  0.248  0.411  0.226
O  0.252  0.411  0.726
O  0.254  0.815  0.122
O  0.289  0.376  0.043
O  0.315  0.985  0.875
O  0.430  0.496  0.603
O  0.472  0.924  0.459
O  0.478  0.012  0.274
O  0.485  0.635  0.897
O  0.515  0.365  0.397
O  0.522  0.988  0.774
O  0.528  0.076  0.959
O  0.570  0.504  0.103
O  0.685  0.015  0.375
O  0.711  0.624  0.543
O  0.746  0.185  0.622
O  0.748  0.589  0.226
O  0.752  0.589  0.726
O  0.754  0.185  0.122
O  0.789  0.624  0.043
O  0.815  0.015  0.875
O  0.930  0.504  0.603
O  0.972  0.076  0.459
O  0.978  0.988  0.274
O  0.985  0.365  0.897

Principal peaks in the range 10° ≤ 2θ ≤ 90°, by angle:
d (Å)  I/Imax
4.151  98
4.125  100
3.417  14
3.258  17
2.861  17
2.614  21
2.589  24
2.502  14

=====

# 3
Structure and theoretical powder X-ray diffraction pattern of LiFe2P2O8 (DFT lattice parameters and positions (PBE+U); Cu Kα, 1.54184 Å).
No peak broadening, texture or thermal motion is included.

Structural model:
abc: 8.851 5.279 10.144
angles: 90.00 123.85 90.00
Sites, in units of the cell vectors:
Li  0.000  0.153  0.000
Li  0.000  0.847  0.500
Fe  0.076  0.432  0.297
Fe  0.076  0.568  0.797
Fe  0.564  0.022  0.275
Fe  0.564  0.978  0.775
P  0.328  0.489  0.671
P  0.328  0.511  0.171
P  0.818  0.077  0.647
P  0.818  0.923  0.147
O  0.148  0.434  0.012
O  0.148  0.566  0.512
O  0.308  0.467  0.309
O  0.308  0.533  0.809
O  0.368  0.206  0.655
O  0.368  0.794  0.155
O  0.489  0.350  0.195
O  0.489  0.650  0.695
O  0.639  0.002  0.990
O  0.639  0.998  0.490
O  0.789  0.035  0.787
O  0.789  0.965  0.287
O  0.862  0.353  0.643
O  0.862  0.647  0.143
O  0.975  0.099  0.177
O  0.975  0.901  0.677

Principal peaks in the range 10° ≤ 2θ ≤ 90°, by angle:
d (Å)  I/Imax
4.288  100
4.212  45
4.137  47
2.640  16
2.611  18
2.575  19
2.536  18
2.192  15

=====

# 4
Structure and theoretical powder X-ray diffraction pattern of LiFePO4 (DFT lattice parameters and positions (PBE+U); Cu Kα, 1.54184 Å).
No peak broadening, texture or thermal motion is included.

Structural model:
abc: 5.768 5.768 8.116
angles: 90.00 90.00 90.00
Sites, in units of the cell vectors:
Li  0.000  0.221  0.000
Li  0.000  0.779  0.500
Li  0.221  0.000  0.250
Li  0.779  0.000  0.750
Fe  0.235  0.500  0.250
Fe  0.500  0.235  0.000
Fe  0.500  0.765  0.500
Fe  0.765  0.500  0.750
P  0.252  0.252  0.625
P  0.252  0.748  0.875
P  0.748  0.252  0.375
P  0.748  0.748  0.125
O  0.032  0.252  0.736
O  0.032  0.748  0.764
O  0.252  0.032  0.514
O  0.252  0.968  0.986
O  0.253  0.476  0.513
O  0.253  0.524  0.987
O  0.476  0.253  0.737
O  0.476  0.747  0.763
O  0.524  0.253  0.263
O  0.524  0.747  0.237
O  0.747  0.476  0.487
O  0.747  0.524  0.013
O  0.748  0.032  0.486
O  0.748  0.968  0.014
O  0.968  0.252  0.264
O  0.968  0.748  0.236

Principal peaks in the range 10° ≤ 2θ ≤ 90°, by angle:
d (Å)  I/Imax
5.768  42
3.644  65
3.319  34
2.879  39
2.458  100
2.449  48
2.039  36
1.438  51

=====

# 5
Structure and theoretical powder X-ray diffraction pattern of Li2FeP2O7 (DFT lattice parameters and positions (PBE+U); Cu Kα, 1.54184 Å).
No peak broadening, texture or thermal motion is included.

Structural model:
abc: 5.119 8.391 7.137
angles: 90.00 109.73 90.00
Sites, in units of the cell vectors:
Li  0.173  0.000  0.149
Li  0.280  0.681  0.600
Li  0.720  0.181  0.400
Li  0.827  0.500  0.851
Fe  0.205  0.354  0.224
Fe  0.795  0.854  0.776
P  0.207  0.056  0.582
P  0.391  0.665  0.023
P  0.609  0.165  0.977
P  0.793  0.556  0.418
O  0.070  0.528  0.385
O  0.145  0.150  0.386
O  0.208  0.812  0.997
O  0.228  0.509  0.005
O  0.372  0.904  0.583
O  0.392  0.178  0.751
O  0.440  0.163  0.120
O  0.560  0.663  0.880
O  0.608  0.678  0.249
O  0.628  0.404  0.417
O  0.772  0.009  0.995
O  0.792  0.312  0.003
O  0.855  0.650  0.614
O  0.930  0.028  0.615

Principal peaks in the range 10° ≤ 2θ ≤ 90°, by angle:
d (Å)  I/Imax
5.244  100
4.181  15
4.132  39
3.558  15
3.408  22
3.160  33
3.144  61
3.098  33

=====

# 6
Structure and theoretical powder X-ray diffraction pattern of LiFe2P2O8 (DFT lattice parameters and positions (PBE+U); Cu Kα, 1.54184 Å).
No peak broadening, texture or thermal motion is included.

Structural model:
abc: 5.205 5.205 6.931
angles: 91.08 91.08 96.48
Sites, in units of the cell vectors:
Li  0.000  0.000  0.000
Fe  0.502  0.498  0.000
Fe  0.989  0.011  0.500
P  0.005  0.503  0.249
P  0.497  0.995  0.751
O  0.296  0.579  0.206
O  0.373  0.064  0.561
O  0.386  0.146  0.927
O  0.421  0.704  0.794
O  0.795  0.060  0.754
O  0.854  0.614  0.073
O  0.936  0.627  0.439
O  0.940  0.205  0.246

Principal peaks in the range 10° ≤ 2θ ≤ 90°, by angle:
d (Å)  I/Imax
4.187  100
4.103  98
2.585  94
2.126  17
2.093  18
1.732  14
1.681  13
1.664  14

=====

# 7
Structure and theoretical powder X-ray diffraction pattern of LiFe2P2O8 (DFT lattice parameters and positions (PBE+U); Cu Kα, 1.54184 Å).
No peak broadening, texture or thermal motion is included.

Structural model:
abc: 4.889 4.889 6.407
angles: 91.00 91.00 67.17
Sites, in units of the cell vectors:
Li  0.000  0.000  0.000
Fe  0.329  0.329  0.745
Fe  0.332  0.332  0.265
P  0.672  0.672  0.012
P  0.978  0.978  0.497
O  0.024  0.559  0.021
O  0.077  0.077  0.703
O  0.088  0.088  0.302
O  0.102  0.630  0.488
O  0.559  0.024  0.021
O  0.564  0.564  0.204
O  0.572  0.572  0.811
O  0.630  0.102  0.488

Principal peaks in the range 10° ≤ 2θ ≤ 90°, by angle:
d (Å)  I/Imax
4.506  86
3.705  49
3.665  48
2.704  70
2.625  94
2.596  100
2.426  82
2.066  47

=====

# 8
Structure and theoretical powder X-ray diffraction pattern of LiFePO4 (DFT lattice parameters and positions (PBE+U); Cu Kα, 1.54184 Å).
No peak broadening, texture or thermal motion is included.

Structural model:
abc: 8.338 9.011 5.219
angles: 90.00 90.00 90.00
Sites, in units of the cell vectors:
Li  0.074  0.075  0.000
Li  0.426  0.575  0.500
Li  0.574  0.425  0.000
Li  0.926  0.925  0.500
Fe  0.155  0.533  0.147
Fe  0.345  0.033  0.647
Fe  0.655  0.967  0.147
Fe  0.845  0.467  0.647
P  0.232  0.372  0.707
P  0.268  0.872  0.207
P  0.732  0.128  0.707
P  0.768  0.628  0.207
O  0.072  0.446  0.808
O  0.133  0.958  0.349
O  0.222  0.206  0.784
O  0.245  0.893  0.917
O  0.255  0.393  0.417
O  0.278  0.706  0.284
O  0.367  0.458  0.849
O  0.428  0.946  0.308
O  0.572  0.054  0.808
O  0.633  0.542  0.349
O  0.722  0.294  0.784
O  0.745  0.607  0.917
O  0.755  0.107  0.417
O  0.778  0.794  0.284
O  0.867  0.042  0.849
O  0.928  0.554  0.308

Principal peaks in the range 10° ≤ 2θ ≤ 90°, by angle:
d (Å)  I/Imax
6.120  39
4.511  100
4.169  41
3.968  23
3.063  17
2.640  25
2.606  22
2.485  20

=====

# 9
Structure and theoretical powder X-ray diffraction pattern of Li2FeP2O8 (DFT lattice parameters and positions (PBE+U); Cu Kα, 1.54184 Å).
No peak broadening, texture or thermal motion is included.

Structural model:
abc: 4.894 4.894 6.391
angles: 90.79 90.79 66.22
Sites, in units of the cell vectors:
Li  0.000  0.000  0.000
Li  0.669  0.669  0.257
Fe  0.997  0.997  0.522
P  0.345  0.345  0.273
P  0.641  0.641  0.754
O  0.227  0.694  0.285
O  0.230  0.230  0.460
O  0.248  0.248  0.066
O  0.294  0.768  0.745
O  0.694  0.227  0.285
O  0.737  0.737  0.963
O  0.755  0.755  0.562
O  0.768  0.294  0.745

Principal peaks in the range 10° ≤ 2θ ≤ 90°, by angle:
d (Å)  I/Imax
6.390  54
3.652  100
3.476  61
2.673  24
2.612  27
2.590  34
2.433  29
2.050  22